Theoretical powder diffraction line list
Compound: Li2AgTeO4
Radiation: copper Kα
Structure: a PBE-relaxed structure
Peak positions follow from Bragg's law for the DFT cell and can differ from measured ones.

Structure:
```
data_Li2AgTeO4
_cell_length_a 7.9498
_cell_length_b 10.8286
_cell_length_c 6.1970
_cell_angle_alpha 90.00
_cell_angle_beta 125.95
_cell_angle_gamma 90.00
_space_group_name_H-M_alt 'C 1 2/c 1'
_space_group_IT_number 15
loop_
_space_group_symop_operation_xyz
'x,y,z'
'-x,-y,-z'
'-x,y,-z+1/2'
'x,-y,z+1/2'
'x+1/2,y+1/2,z'
'-x+1/2,-y+1/2,-z'
'-x+1/2,y+1/2,-z+1/2'
'x+1/2,-y+1/2,z+1/2'
loop_
_atom_site_label
_atom_site_type_symbol
_atom_site_fract_x
_atom_site_fract_y
_atom_site_fract_z
_atom_site_occupancy
Li1 Li 0.0000 0.0000 0.0000 1
Li2 Li 0.2500 0.2500 0.0000 1
Ag1 Ag 0.0000 0.5000 0.0000 1
Te1 Te 0.2500 0.2500 0.5000 1
O1 O 0.0480 0.2514 0.0691 1
O2 O 0.2254 0.0654 0.4772 1
```

Principal peaks in the range 5 to 70 degrees two-theta, in order of rising 2θ:
- 2θ 16.02, intensity 61
- 2θ 16.83, intensity 100
- 2θ 28.35, intensity 16
- 2θ 32.36, intensity 41
- 2θ 33.09, intensity 38
- 2θ 34.04, intensity 33
- 2θ 35.51, intensity 17
- 2θ 35.80, intensity 36
- 2θ 45.76, intensity 18
- 2θ 49.54, intensity 22